# ErMn2O3
Simulated PXRD pattern, Cu Kα (λ = 1.5418 Å). Input: a GGA+U-relaxed structure.
Kinematic intensities with the Lorentz-polarization factor, no thermal factor.

Atomic structure:
```
data_ErMn2O3
_space_group_name_H-M_alt 'P b a m'
_space_group_IT_number 55
_cell_length_a 6.3785
_cell_length_b 9.2251
_cell_length_c 5.9812
_cell_angle_alpha 90.00
_cell_angle_beta 90.00
_cell_angle_gamma 90.00
loop_
_space_group_symop_operation_xyz
'x,y,z'
'-x,-y,-z'
'-x,-y,z'
'x,y,-z'
'x+1/2,-y+1/2,-z'
'-x+1/2,y+1/2,z'
'-x+1/2,y+1/2,-z'
'x+1/2,-y+1/2,z'
loop_
_atom_site_label
_atom_site_fract_x
_atom_site_fract_y
_atom_site_fract_z
Er1 0.1092 0.1686 0.0000
Mn1 0.0000 0.5000 0.2684
Mn2 0.0975 0.8484 0.5000
O1 0.0000 0.0000 0.2414
O2 0.1021 0.6976 0.2302
```

Most intense lines, 2θ = 5–70°, most intense first:
d [Å]  intensity  index
2.692  1000  2 1 1
3.170  704  1 2 1
5.981  594  0 0 1
2.770  590  1 3 0
2.598  513  1 1 2
2.511  422  0 2 2
2.032  318  1 3 2
1.838  310  3 2 1

# Er3MnO7
Simulated PXRD pattern, Cu Kα (λ = 1.5418 Å). Input: a GGA+U-relaxed structure.
Kinematic intensities with the Lorentz-polarization factor, no thermal factor.

Atomic structure:
```
data_Er3MnO7
_space_group_name_H-M_alt 'C 2 2 21'
_space_group_IT_number 20
_cell_length_a 7.3046
_cell_length_b 10.3534
_cell_length_c 7.2940
_cell_angle_alpha 90.00
_cell_angle_beta 90.00
_cell_angle_gamma 90.00
loop_
_space_group_symop_operation_xyz
'x,y,z'
'-x,-y,z+1/2'
'x,-y,-z'
'-x,y,-z+1/2'
'x+1/2,y+1/2,z'
'-x+1/2,-y+1/2,z+1/2'
'x+1/2,-y+1/2,-z'
'-x+1/2,y+1/2,-z+1/2'
loop_
_atom_site_label
_atom_site_fract_x
_atom_site_fract_y
_atom_site_fract_z
Er1 0.0214 0.0000 0.0000
Er2 0.2333 0.2720 0.7542
Mn1 0.0013 0.5000 0.5000
O1 0.0000 0.1300 0.2500
O2 0.0000 0.1351 0.7500
O3 0.0000 0.4295 0.7500
O4 0.1947 0.3769 0.0347
O5 0.2019 0.3774 0.4720
```

Most intense lines, 2θ = 5–70°, most intense first:
d [Å]  intensity  index
2.983  1000  2 2 0
1.827  338  2 4 2
1.557  259  2 2 4
2.581  229  2 0 2
1.560  98  0 6 2
2.588  96  0 4 0
1.824  85  0 0 4
1.491  79  0 4 4

# Er2Mn3Sb3O14
Simulated PXRD pattern, Cu Kα (λ = 1.5418 Å). Input: a GGA+U-relaxed structure.
Kinematic intensities with the Lorentz-polarization factor, no thermal factor.

Atomic structure:
```
data_Er2Mn3Sb3O14
_space_group_name_H-M_alt 'C 1 2/m 1'
_space_group_IT_number 12
_cell_length_a 12.2947
_cell_length_b 7.3267
_cell_length_c 7.2566
_cell_angle_alpha 90.00
_cell_angle_beta 123.85
_cell_angle_gamma 90.00
loop_
_space_group_symop_operation_xyz
'x,y,z'
'-x,-y,-z'
'-x,y,-z'
'x,-y,z'
'x+1/2,y+1/2,z'
'-x+1/2,-y+1/2,-z'
'-x+1/2,y+1/2,-z'
'x+1/2,-y+1/2,z'
loop_
_atom_site_label
_atom_site_fract_x
_atom_site_fract_y
_atom_site_fract_z
Er1 0.2500 0.2500 0.0000
Mn1 0.0000 0.0000 0.0000
Mn2 0.0000 0.0000 0.5000
Mn3 0.0000 0.5000 0.5000
Sb1 0.0000 0.5000 0.0000
Sb2 0.2500 0.2500 0.5000
O1 0.0938 0.5000 0.8553
O2 0.1199 0.0000 0.8733
O3 0.1237 0.2927 0.1738
O4 0.1292 0.3019 0.5921
O5 0.1709 0.0000 0.4347
```

Most intense lines, 2θ = 5–70°, most intense first:
d [Å]  intensity  index
2.976  1000  2 2 0
3.013  522  0 0 2
2.902  468  4 0 -2
2.577  406  2 2 -2
1.565  356  4 0 2
1.840  333  2 2 2
1.788  301  6 2 -2
5.106  202  2 0 0

# Er2MnSbO6
Simulated PXRD pattern, Cu Kα (λ = 1.5418 Å). Input: a GGA+U-relaxed structure.
Kinematic intensities with the Lorentz-polarization factor, no thermal factor.

Atomic structure:
```
data_Er2MnSbO6
_space_group_name_H-M_alt 'P 4 m m'
_space_group_IT_number 99
_cell_length_a 5.2156
_cell_length_b 5.2156
_cell_length_c 5.3572
_cell_angle_alpha 90.00
_cell_angle_beta 90.00
_cell_angle_gamma 90.00
loop_
_space_group_symop_operation_xyz
'x,y,z'
'-y,x,z'
'-x,-y,z'
'y,-x,z'
'-x,y,z'
'y,x,z'
'x,-y,z'
'-y,-x,z'
loop_
_atom_site_label
_atom_site_fract_x
_atom_site_fract_y
_atom_site_fract_z
Er1 0.0000 0.5000 0.0000
Mn1 0.0000 0.0000 0.5616
Sb1 0.5000 0.5000 0.5891
O1 0.0000 0.0000 0.1842
O2 0.2531 0.2531 0.7621
O3 0.5000 0.5000 0.1944
```

Most intense lines, 2θ = 5–70°, most intense first:
d [Å]  intensity  index
3.038  1000  1 1 1
2.608  329  2 0 0
1.576  286  3 1 1
1.869  265  2 0 2
5.357  233  0 0 1
1.844  185  2 2 0
2.167  167  1 1 2
1.607  111  1 1 3

- Which formula does entry 2 have?
  Er3MnO7

Please write out number 1 again, unchanged.
# ErMn2O3
Simulated PXRD pattern, Cu Kα (λ = 1.5418 Å). Input: a GGA+U-relaxed structure.
Kinematic intensities with the Lorentz-polarization factor, no thermal factor.

Atomic structure:
```
data_ErMn2O3
_space_group_name_H-M_alt 'P b a m'
_space_group_IT_number 55
_cell_length_a 6.3785
_cell_length_b 9.2251
_cell_length_c 5.9812
_cell_angle_alpha 90.00
_cell_angle_beta 90.00
_cell_angle_gamma 90.00
loop_
_space_group_symop_operation_xyz
'x,y,z'
'-x,-y,-z'
'-x,-y,z'
'x,y,-z'
'x+1/2,-y+1/2,-z'
'-x+1/2,y+1/2,z'
'-x+1/2,y+1/2,-z'
'x+1/2,-y+1/2,z'
loop_
_atom_site_label
_atom_site_fract_x
_atom_site_fract_y
_atom_site_fract_z
Er1 0.1092 0.1686 0.0000
Mn1 0.0000 0.5000 0.2684
Mn2 0.0975 0.8484 0.5000
O1 0.0000 0.0000 0.2414
O2 0.1021 0.6976 0.2302
```

Most intense lines, 2θ = 5–70°, most intense first:
d [Å]  intensity  index
2.692  1000  2 1 1
3.170  704  1 2 1
5.981  594  0 0 1
2.770  590  1 3 0
2.598  513  1 1 2
2.511  422  0 2 2
2.032  318  1 3 2
1.838  310  3 2 1

Please write out number 2 again, unchanged.
# Er3MnO7
Simulated PXRD pattern, Cu Kα (λ = 1.5418 Å). Input: a GGA+U-relaxed structure.
Kinematic intensities with the Lorentz-polarization factor, no thermal factor.

Atomic structure:
```
data_Er3MnO7
_space_group_name_H-M_alt 'C 2 2 21'
_space_group_IT_number 20
_cell_length_a 7.3046
_cell_length_b 10.3534
_cell_length_c 7.2940
_cell_angle_alpha 90.00
_cell_angle_beta 90.00
_cell_angle_gamma 90.00
loop_
_space_group_symop_operation_xyz
'x,y,z'
'-x,-y,z+1/2'
'x,-y,-z'
'-x,y,-z+1/2'
'x+1/2,y+1/2,z'
'-x+1/2,-y+1/2,z+1/2'
'x+1/2,-y+1/2,-z'
'-x+1/2,y+1/2,-z+1/2'
loop_
_atom_site_label
_atom_site_fract_x
_atom_site_fract_y
_atom_site_fract_z
Er1 0.0214 0.0000 0.0000
Er2 0.2333 0.2720 0.7542
Mn1 0.0013 0.5000 0.5000
O1 0.0000 0.1300 0.2500
O2 0.0000 0.1351 0.7500
O3 0.0000 0.4295 0.7500
O4 0.1947 0.3769 0.0347
O5 0.2019 0.3774 0.4720
```

Most intense lines, 2θ = 5–70°, most intense first:
d [Å]  intensity  index
2.983  1000  2 2 0
1.827  338  2 4 2
1.557  259  2 2 4
2.581  229  2 0 2
1.560  98  0 6 2
2.588  96  0 4 0
1.824  85  0 0 4
1.491  79  0 4 4